(1)
For HoSnGeTe3, a structure optimized by DFT (PBE) gives the calculated powder diffractogram in this record (Cu Kα X-rays).
Lines closer than 0.1° are merged.

Most intense lines, 2θ from 10° to 90°, sorted by position:
2θ (°)	intensity	(hkl)
27.30	147	1 3 0
28.50	399	1 3 1
31.84	1000	1 3 2
32.46	420	0 0 4
39.89	212	0 6 2
40.23	137	1 5 2
41.58	232	2 0 0
53.71	158	2 0 4
58.98	135	2 6 2
69.79	188	3 3 2

Cell and atoms:
```
data_HoSnGeTe3
_symmetry_space_group_name_H-M 'C m c m'
_symmetry_Int_Tables_number 63
_symmetry_space_group_name_Hall '-C 2c 2'
_cell_length_a 4.344
_cell_length_b 14.865
_cell_length_c 11.032
_cell_angle_alpha 90.00
_cell_angle_beta 90.00
_cell_angle_gamma 90.00
loop_
_atom_site_label
_atom_site_fract_x
_atom_site_fract_y
_atom_site_fract_z
_atom_site_occupancy
Ho1 0.000 0.000 0.000 1
Sn1 0.000 0.229 0.250 1
Ge1 0.000 0.469 0.750 1
Te1 0.000 0.106 0.750 1
Te2 0.000 0.352 0.539 1
```

---

(2)
For KHfAgSe2S, a structure optimized by DFT (PBE) gives the calculated powder diffractogram in this record (Cu Kα X-rays).
Lines closer than 0.1° are merged.

Most intense lines, 2θ from 10° to 90°, sorted by position:
2θ (°)	intensity	(hkl)
12.05	1000	1 0 -1
25.27	102	1 0 2
28.44	231	0 0 3
31.36	315	2 1 -1
32.30	277	2 1 0
35.30	174	1 1 -3
35.95	112	2 1 1
38.31	95	0 0 4
44.08	182	2 1 -4
45.97	125	0 2 0

Cell and atoms:
```
data_KHfAgSe2S
_symmetry_space_group_name_H-M 'P 1 21/m 1'
_symmetry_Int_Tables_number 11
_cell_length_a 8.276
_cell_length_b 3.948
_cell_length_c 9.994
_cell_angle_alpha 90.00
_cell_angle_beta 109.91
_cell_angle_gamma 90.00
loop_
_symmetry_equiv_pos_as_xyz
'x,y,z'
'-x,-y,-z'
'-x,y+1/2,-z'
'x,-y+1/2,z'
loop_
_atom_site_label
_atom_site_fract_x
_atom_site_fract_y
_atom_site_fract_z
_atom_site_occupancy
K1 0.241 0.250 0.200 1
Hf1 0.191 0.750 0.665 1
Ag1 0.426 0.250 0.895 1
Se1 0.049 0.750 0.369 1
Se2 0.400 0.250 0.629 1
S1 0.236 0.750 0.926 1
```